[1]
The following is a computed X-ray powder pattern of Cs2KNa2ReO6. It was derived from a DFT-relaxed cell (GGA-PBE, OQMD), using Cu Kα (weighted mean of Kα1 and Kα2).

Largest 8 diffraction maxima, sorted by position, 5° ≤ 2θ ≤ 70°:
16.38 deg, rel. 100.0
26.07 deg, rel. 62.9
28.03 deg, rel. 26.3
28.36 deg, rel. 75.2
28.54 deg, rel. 40.8
33.11 deg, rel. 24.8
33.36 deg, rel. 78.1
36.32 deg, rel. 34.1

Structure:
```
Cs2KNa2ReO6
1.0
3.2996 -6.1203 0.0000
3.2996 6.1203 0.0000
-1.8201 0.0000 5.4114
Cs K Na Re O
2 1 2 1 6
direct
0.1763 0.8237 0.0000
0.8237 0.1763 0.0000
0.0000 0.0000 0.5000
0.3837 0.6163 0.5000
0.6163 0.3837 0.5000
0.5000 0.5000 0.0000
0.2207 0.4425 0.7874
0.3088 0.3088 0.1932
0.4425 0.2207 0.7874
0.5575 0.7793 0.2126
0.6912 0.6912 0.8068
0.7793 0.5575 0.2126
```


[2]
The following is a computed X-ray powder pattern of CsK3Nb2O5. It was derived from a DFT-relaxed cell (GGA-PBE, OQMD), using Cu Kα (weighted mean of Kα1 and Kα2).

Largest 8 diffraction maxima, sorted by position, 5° ≤ 2θ ≤ 70°:
17.95 deg, rel. 22.5
19.96 deg, rel. 77.2
26.57 deg, rel. 55.4
27.29 deg, rel. 28.3
29.14 deg, rel. 100.0
30.22 deg, rel. 63.1
38.45 deg, rel. 39.5
48.53 deg, rel. 24.9

Structure:
```
CsK3Nb2O5
1.0
4.9880 -3.3548 0.0000
4.9880 3.3548 0.0000
-1.0631 0.0000 7.7312
Cs K Nb O
1 3 2 5
direct
0.0000 0.0000 0.0000
0.3167 0.3167 0.3534
0.6792 0.6792 0.6363
0.9956 0.9956 0.5017
0.3966 0.3966 0.8086
0.6217 0.6217 0.1913
0.1352 0.5874 0.6770
0.3844 0.8401 0.3211
0.5776 0.5776 0.9397
0.5874 0.1352 0.6770
0.8401 0.3844 0.3211
```


[3]
The following is a computed X-ray powder pattern of CsKRb2Nb2O5. It was derived from a DFT-relaxed cell (GGA-PBE, OQMD), using Cu Kα (weighted mean of Kα1 and Kα2).

Largest 8 diffraction maxima, sorted by position, 5° ≤ 2θ ≤ 70°:
19.51 deg, rel. 37.7
26.04 deg, rel. 59.1
26.74 deg, rel. 48.7
28.98 deg, rel. 100.0
29.69 deg, rel. 70.8
37.68 deg, rel. 42.7
47.80 deg, rel. 27.8
48.23 deg, rel. 33.6

Structure:
```
CsKRb2Nb2O5
1.0
5.0856 -3.4217 0.0000
5.0856 3.4217 0.0000
-1.2081 0.0000 7.7714
Cs K Rb Nb O
1 1 2 2 5
direct
0.0000 0.0000 0.0000
0.6835 0.6835 0.6308
0.0062 0.0062 0.5109
0.3249 0.3249 0.3422
0.4028 0.4028 0.8103
0.6285 0.6285 0.1809
0.1328 0.5808 0.6863
0.3922 0.8362 0.3094
0.5808 0.1328 0.6863
0.5863 0.5863 0.9303
0.8362 0.3922 0.3094
```


[4]
The following is a computed X-ray powder pattern of CsK2RbNb2O5. It was derived from a DFT-relaxed cell (GGA-PBE, OQMD), using Cu Kα (weighted mean of Kα1 and Kα2).

Largest 8 diffraction maxima, sorted by position, 5° ≤ 2θ ≤ 70°:
19.58 deg, rel. 61.3
26.47 deg, rel. 54.5
26.69 deg, rel. 35.0
28.70 deg, rel. 100.0
29.81 deg, rel. 61.2
36.60 deg, rel. 18.1
37.96 deg, rel. 39.1
48.13 deg, rel. 23.3

Structure:
```
CsK2RbNb2O5
1.0
5.0710 -3.3666 0.0000
5.0710 3.3666 0.0000
-1.1207 0.0000 7.8898
Cs K Rb Nb O
1 2 1 2 5
direct
0.0000 0.0000 0.0000
0.3121 0.3121 0.3538
0.9899 0.9899 0.4921
0.6784 0.6784 0.6418
0.3960 0.3960 0.8064
0.6157 0.6157 0.1952
0.1486 0.5954 0.6738
0.3827 0.8417 0.3203
0.5680 0.5680 0.9494
0.5954 0.1486 0.6738
0.8417 0.3827 0.3203
```